Calculated powder X-ray diffraction pattern
Compound: Se2Cl2O5
Radiation: Cu Ka
Structure: a PBE-relaxed structure

Largest 10 diffraction maxima, in order of rising 2θ, 10° ≤ 2θ ≤ 90°:
2theta, d [Å], I_rel
16.63, 5.332, 24
24.39, 3.650, 100
25.05, 3.555, 19
34.23, 2.619, 20
38.25, 2.353, 24
42.38, 2.133, 10
49.19, 1.852, 20
53.33, 1.718, 14
55.63, 1.652, 22
63.97, 1.455, 10

Structure:
```
Se2Cl2O5
1.0
-1.852 1.852 10.664
1.852 -1.852 10.664
1.852 1.852 -10.664
Se Cl O
2 2 5
direct
0.085 0.085 0.000 Se
0.915 0.915 0.000 Se
0.195 0.195 0.000 Cl
0.805 0.805 0.000 Cl
0.000 0.000 0.000 O
0.099 0.599 0.500 O
0.401 0.901 0.500 O
0.599 0.099 0.500 O
0.901 0.401 0.500 O
```